Structure and calculated PXRD pattern of NaCa2Nb8Bi9O36 (a cell relaxed with GGA-PBE; Cu Kα (λ = 1.5418 Å)).

Crystal structure
```
data_NaCa2Nb8Bi9O36
_symmetry_space_group_name_H-M 'P 1 m 1'
_symmetry_Int_Tables_number 6
_cell_length_a 5.546
_cell_length_b 25.294
_cell_length_c 5.603
_cell_angle_alpha 90.00
_cell_angle_beta 90.45
_cell_angle_gamma 90.00
loop_
_symmetry_equiv_pos_as_xyz
'x,y,z'
'x,-y,z'
loop_
_atom_site_label
_atom_site_type_symbol
_atom_site_fract_x
_atom_site_fract_y
_atom_site_fract_z
Na1 Na 0.000 0.000 0.000
Ca1 Ca 0.020 0.500 0.508
Ca2 Ca 0.509 0.500 0.010
Nb1 Nb 0.007 0.419 0.977
Nb2 Nb 0.008 0.083 0.474
Nb3 Nb 0.507 0.084 0.979
Nb4 Nb 0.519 0.419 0.478
Bi1 Bi 0.048 0.301 0.532
Bi2 Bi 0.481 0.302 0.035
Bi3 Bi 0.492 0.000 0.521
Bi4 Bi 0.550 0.200 0.534
Bi5 Bi 0.983 0.201 0.031
O1 O 0.098 0.000 0.422
O2 O 0.104 0.347 0.942
O3 O 0.221 0.091 0.155
O4 O 0.221 0.440 0.236
O5 O 0.251 0.251 0.256
O6 O 0.280 0.250 0.757
O7 O 0.312 0.440 0.736
O8 O 0.323 0.085 0.645
O9 O 0.428 0.347 0.440
O10 O 0.444 0.000 0.922
O11 O 0.598 0.156 0.935
O12 O 0.602 0.500 0.421
O13 O 0.712 0.413 0.146
O14 O 0.724 0.065 0.239
O15 O 0.752 0.251 0.257
O16 O 0.780 0.252 0.756
O17 O 0.809 0.064 0.733
O18 O 0.821 0.413 0.645
O19 O 0.930 0.500 0.921
O20 O 0.937 0.156 0.452
```

The 10 most intense peaks (15 to 90 degrees two-theta), by angle:
h k l, two_theta, I_rel
1 3 -1, 24.9, 22
1 3 1, 25.0, 22
1 5 -1, 28.6, 100
1 5 1, 28.8, 98
0 0 2, 31.9, 37
2 0 0, 32.3, 33
0 10 0, 35.5, 21
0 10 2, 48.5, 24
2 10 0, 48.7, 20
2 10 2, 59.6, 22


Structure and calculated PXRD pattern of UCu2Ge2 (a cell relaxed with GGA-PBE; Cu Kα (λ = 1.5418 Å)).

Crystal structure
```
data_UCu2Ge2
_symmetry_space_group_name_H-M 'I 4/m m m'
_symmetry_Int_Tables_number 139
_symmetry_space_group_name_Hall '-I 4 2'
_cell_length_a 4.031
_cell_length_b 4.031
_cell_length_c 10.368
_cell_angle_alpha 90.00
_cell_angle_beta 90.00
_cell_angle_gamma 90.00
loop_
_atom_site_label
_atom_site_type_symbol
_atom_site_fract_x
_atom_site_fract_y
_atom_site_fract_z
U1 U 0.000 0.000 0.000
Cu1 Cu 0.000 0.500 0.250
Ge1 Ge 0.000 0.000 0.381
```

The 10 most intense peaks (15 to 90 degrees two-theta), by angle:
h k l, two_theta, I_rel
1 0 1, 23.7, 26
1 1 0, 31.4, 28
1 0 3, 34.2, 83
1 1 2, 36.0, 100
2 0 0, 45.0, 50
1 0 5, 49.4, 36
2 1 3, 57.7, 38
2 2 0, 65.5, 16
2 1 5, 69.0, 27
3 1 2, 77.0, 22


Structure and calculated PXRD pattern of ThP4O12 (a cell relaxed with GGA-PBE; Cu Kα (λ = 1.5418 Å)).

Crystal structure
```
data_ThP4O12
_symmetry_space_group_name_H-M 'C 1 2/c 1'
_symmetry_Int_Tables_number 15
_cell_length_a 11.559
_cell_length_b 8.140
_cell_length_c 12.739
_cell_angle_alpha 90.00
_cell_angle_beta 95.70
_cell_angle_gamma 90.00
loop_
_symmetry_equiv_pos_as_xyz
'x,y,z'
'-x,-y,-z'
'-x,y,-z+1/2'
'x,-y,z+1/2'
'x+1/2,y+1/2,z'
'-x+1/2,-y+1/2,-z'
'-x+1/2,y+1/2,-z+1/2'
'x+1/2,-y+1/2,z+1/2'
loop_
_atom_site_label
_atom_site_type_symbol
_atom_site_fract_x
_atom_site_fract_y
_atom_site_fract_z
Th1 Th 0.000 0.020 0.250
P1 P 0.106 0.233 0.514
P2 P 0.203 0.334 0.804
O1 O 0.063 0.176 0.405
O2 O 0.068 0.133 0.603
O3 O 0.135 0.485 0.808
O4 O 0.151 0.166 0.819
O5 O 0.169 0.167 0.208
O6 O 0.174 0.384 0.535
```

The 10 most intense peaks (15 to 90 degrees two-theta), by angle:
h k l, two_theta, I_rel
2 0 0, 15.4, 50
1 1 -2, 18.8, 58
1 1 2, 19.9, 92
3 1 0, 25.7, 100
0 2 2, 26.0, 90
0 0 4, 28.2, 59
2 2 -2, 29.6, 47
3 1 2, 30.5, 41
2 2 2, 31.1, 42
3 3 2, 44.1, 44


Structure and calculated PXRD pattern of LiTiRhO4 (a cell relaxed with GGA-PBE; Cu Kα (λ = 1.5418 Å)).

Crystal structure
```
data_LiTiRhO4
_symmetry_space_group_name_H-M 'I m m a'
_symmetry_Int_Tables_number 74
_symmetry_space_group_name_Hall '-I 2b 2'
_cell_length_a 5.960
_cell_length_b 6.168
_cell_length_c 8.337
_cell_angle_alpha 90.00
_cell_angle_beta 90.00
_cell_angle_gamma 90.00
loop_
_atom_site_label
_atom_site_type_symbol
_atom_site_fract_x
_atom_site_fract_y
_atom_site_fract_z
Li1 Li 0.000 0.250 0.129
Ti1 Ti 0.250 0.250 0.750
Rh1 Rh 0.000 0.000 0.500
O1 O 0.000 0.033 0.749
O2 O 0.232 0.250 0.513
```

The 10 most intense peaks (15 to 90 degrees two-theta), by angle:
h k l, two_theta, I_rel
0 1 1, 17.9, 29
1 0 1, 18.3, 100
1 2 1, 34.5, 40
1 0 3, 35.6, 20
0 2 2, 36.2, 13
2 2 0, 42.2, 43
0 0 4, 43.4, 20
1 2 3, 46.6, 14
3 2 1, 56.2, 12
2 2 4, 62.1, 26


Structure and calculated PXRD pattern of Cs2LiGdCl6 (a cell relaxed with GGA-PBE; Cu Kα (λ = 1.5418 Å)).

Crystal structure
```
data_Cs2LiGdCl6
_symmetry_space_group_name_H-M 'F m -3 m'
_symmetry_Int_Tables_number 225
_symmetry_space_group_name_Hall '-F 4 2 3'
_cell_length_a 10.671
_cell_length_b 10.671
_cell_length_c 10.671
_cell_angle_alpha 90.00
_cell_angle_beta 90.00
_cell_angle_gamma 90.00
loop_
_atom_site_label
_atom_site_type_symbol
_atom_site_fract_x
_atom_site_fract_y
_atom_site_fract_z
Cs1 Cs 0.250 0.250 0.250
Li1 Li 0.000 0.000 0.000
Gd1 Gd 0.000 0.000 0.500
Cl1 Cl 0.000 0.000 0.249
```

The 10 most intense peaks (15 to 90 degrees two-theta), by angle:
h k l, two_theta, I_rel
2 2 0, 23.6, 100
3 1 1, 27.7, 25
2 2 2, 29.0, 35
4 0 0, 33.6, 69
4 2 2, 41.5, 46
4 4 0, 48.2, 47
6 2 0, 54.4, 21
4 4 4, 60.1, 16
6 4 2, 65.5, 25
8 4 0, 80.5, 20


Q: Which formula does entry 4 have?
A: LiTiRhO4